The following is a theoretical powder XRD pattern of Na3Co6AgP8O28. It was derived from a cell relaxed with GGA+U, using Cu Kα.
Lines closer than 0.1° are merged.

Top 6 peaks for 2θ from 10° to 90°, sorted by position:
- 10.93°, 8.093 Å, I = 24.3, (0 0 2)
- 29.65°, 3.013 Å, I = 61.7, (1 2 2)
- 29.79°, 2.999 Å, I = 35.5, (1 0 -4)
- 30.55°, 2.926 Å, I = 19.3, (0 2 -1)
- 30.94°, 2.890 Å, I = 100.0, (1 0 5)
- 33.60°, 2.667 Å, I = 35.7, (1 2 4)

Atomic structure:
abc: 5.376 6.421 16.509
angles: 80.87 80.85 72.43
Space group P1 (No. 1)
Asymmetric unit:
Na 0.000 0.000 0.000
Na 0.165 0.519 0.958
Na 0.451 0.983 0.119
Co 0.026 0.629 0.174
Co 0.129 0.899 0.783
Co 0.281 0.539 0.571
Co 0.291 0.224 0.321
Co 0.847 0.304 0.634
Co 0.859 0.987 0.386
Ag 0.699 0.532 0.840
P 0.285 0.357 0.762
P 0.380 0.040 0.524
P 0.410 0.691 0.302
P 0.521 0.013 0.899
P 0.642 0.513 0.060
P 0.735 0.837 0.654
P 0.760 0.487 0.434
P 0.872 0.167 0.196
O 0.008 0.961 0.152
O 0.074 0.289 0.202
O 0.085 0.234 0.757
O 0.149 0.567 0.804
O 0.197 0.248 0.562
O 0.224 0.918 0.324
O 0.256 0.853 0.536
O 0.257 0.552 0.274
O 0.345 0.623 0.065
O 0.360 0.864 0.882
O 0.400 0.119 0.977
O 0.456 0.394 0.680
O 0.483 0.103 0.433
O 0.496 0.559 0.390
O 0.498 0.213 0.822
O 0.499 0.811 0.713
O 0.644 0.720 0.243
O 0.647 0.970 0.567
O 0.653 0.427 0.525
O 0.657 0.315 0.137
O 0.699 0.131 0.277
O 0.769 0.397 0.983
O 0.800 0.663 0.076
O 0.819 0.909 0.891
O 0.886 0.672 0.423
O 0.890 0.976 0.682
O 0.919 0.609 0.633
O 0.941 0.279 0.398